The following is a simulated X-ray powder pattern of Rb2PuCl5. It was derived from a cell relaxed with GGA-PBE, using Cu Ka.
Kinematic intensities with the Lorentz-polarization factor, no thermal factor.

Peak list (12 most intense, 15° ≤ 2θ ≤ 90°, by angle)
(hkl), d_spacing, I/Imax
2 1 1, 4.486, 21
0 0 2, 4.122, 40
3 0 1, 3.932, 90
1 2 1, 3.745, 100
2 2 0, 3.695, 60
1 2 2, 2.943, 27
2 2 2, 2.751, 58
4 2 0, 2.673, 43
2 1 3, 2.444, 35
0 4 0, 2.212, 79
4 1 3, 2.067, 22
3 4 1, 1.928, 45

Cell and atoms:
Lattice parameters (Å, degrees): 13.418 8.853 8.244 90.00 90.00 90.00
Positions (direct):
Rb (0.171, 0.001, 0.044)
Rb (0.171, 0.499, 0.044)
Rb (0.329, 0.501, 0.544)
Rb (0.329, 0.999, 0.544)
Rb (0.671, 0.001, 0.456)
Rb (0.671, 0.499, 0.456)
Rb (0.829, 0.501, 0.956)
Rb (0.829, 0.999, 0.956)
Pu (0.002, 0.250, 0.562)
Pu (0.498, 0.750, 0.062)
Pu (0.502, 0.250, 0.938)
Pu (0.998, 0.750, 0.438)
Cl (0.013, 0.250, 0.903)
Cl (0.079, 0.538, 0.654)
Cl (0.079, 0.962, 0.654)
Cl (0.171, 0.250, 0.373)
Cl (0.195, 0.750, 0.339)
Cl (0.305, 0.250, 0.839)
Cl (0.329, 0.750, 0.873)
Cl (0.421, 0.038, 0.154)
Cl (0.421, 0.462, 0.154)
Cl (0.487, 0.750, 0.403)
Cl (0.513, 0.250, 0.597)
Cl (0.579, 0.538, 0.846)
Cl (0.579, 0.962, 0.846)
Cl (0.671, 0.250, 0.127)
Cl (0.695, 0.750, 0.161)
Cl (0.805, 0.250, 0.661)
Cl (0.829, 0.750, 0.627)
Cl (0.921, 0.038, 0.346)
Cl (0.921, 0.462, 0.346)
Cl (0.987, 0.750, 0.097)